Computed XRD peak list of Al2Ir2Rh for Cu Ka, from a structure optimized by DFT (GGA-PBE).

```
Al2Ir2Rh
1.0
7.1464 0.0000 0.0000
0.0000 7.1464 0.0000
0.0000 0.0000 2.8323
Al Ir Rh
4 4 2
Cartesian
1.0043 2.5689 0.0000
2.5689 6.1421 0.0000
4.5775 1.0043 0.0000
6.1421 4.5775 0.0000
1.1306 4.7037 1.4162
2.4426 1.1306 1.4162
4.7037 6.0158 1.4162
6.0158 2.4426 1.4162
0.0000 0.0000 0.0000
3.5732 3.5732 0.0000
```

Principal peaks in the range 2θ from 10° to 80°, sorted by position:
3.196 Å, 2θ = 27.92°, rel. 87, (2 1 0)
2.471 Å, 2θ = 36.36°, rel. 27, (1 1 1)
2.260 Å, 2θ = 39.89°, rel. 63, (3 1 0)
2.220 Å, 2θ = 40.65°, rel. 32, (2 0 1)
2.120 Å, 2θ = 42.65°, rel. 100, (2 1 1)
1.511 Å, 2θ = 61.35°, rel. 15, (4 0 1)
1.478 Å, 2θ = 62.86°, rel. 18, (4 1 1)
1.448 Å, 2θ = 64.35°, rel. 26, (3 3 1)
1.202 Å, 2θ = 79.81°, rel. 22, (5 2 1)
1.200 Å, 2θ = 79.95°, rel. 17, (3 1 2)